Structure and computed powder diffraction line list of Na2LiMnPCO7 (a GGA+U-relaxed structure; λ = 1.5418 Å (Cu Kα)).
Peak positions follow from Bragg's law for the DFT cell and can differ from measured ones.

Structural model:
Cell lengths 5.3103, 6.8712, 8.8681 Å; angles 90.00, 94.69, 90.00 degrees
Space group P2_1/m (No. 11)
Symmetry-distinct sites (fractional):
Na 0.2092 0.0036 0.2514
Li 0.3861 0.2500 0.8728
Mn 0.2995 0.7500 0.6402
P 0.2208 0.2500 0.5894
C 0.2643 0.7500 0.9423
O 0.0740 0.7500 0.4314
O 0.0765 0.7500 0.8390
O 0.2285 0.7500 0.0850
O 0.3138 0.0702 0.6862
O 0.3257 0.2500 0.4313
O 0.4961 0.7500 0.9019

Top 8 peaks for 2θ = 15–90°, most intense first:
2theta	d [Å]	I (rel.)	index
33.1	2.710	100	0 2 2
25.9	3.436	91	0 2 0
32.2	2.776	59	1 2 -1
33.9	2.646	58	2 0 0
53.3	1.718	53	0 4 0
49.0	1.858	48	0 2 4
34.6	2.594	40	2 0 -1
25.2	3.538	40	1 0 -2